The following is a computed X-ray powder pattern of ScTc2Se4. It was derived from a GGA-PBE-relaxed structure, using Cu Kα, 1.54184 Å.
No peak broadening, texture or thermal motion is included.

```
data_ScTc2Se4
_chemical_formula_sum 'Sc2 Tc4 Se8'
_space_group_name_H-M_alt 'P 1'
_space_group_IT_number 1
_cell_length_a 7.638
_cell_length_b 7.638
_cell_length_c 7.638
_cell_angle_alpha 60.00
_cell_angle_beta 60.00
_cell_angle_gamma 60.00
loop_
_space_group_symop_operation_xyz
'x,y,z'
loop_
_atom_site_label
_atom_site_type_symbol
_atom_site_fract_x
_atom_site_fract_y
_atom_site_fract_z
Sc1 Sc 0.125 0.125 0.125
Sc2 Sc 0.875 0.875 0.875
Tc1 Tc 0.000 0.500 0.500
Tc2 Tc 0.500 0.000 0.500
Tc3 Tc 0.500 0.500 0.000
Tc4 Tc 0.500 0.500 0.500
Se1 Se 0.263 0.263 0.263
Se2 Se 0.263 0.263 0.712
Se3 Se 0.263 0.712 0.263
Se4 Se 0.288 0.737 0.737
Se5 Se 0.712 0.263 0.263
Se6 Se 0.737 0.288 0.737
Se7 Se 0.737 0.737 0.288
Se8 Se 0.737 0.737 0.737
```

Largest 8 diffraction maxima, most intense first, 10 to 90 degrees two-theta:
2theta	I/Imax
33.18	100
47.62	95
14.20	57
27.39	45
43.54	42
88.74	25
79.34	24
59.27	21